Entry 1:
Starting from a cell relaxed with PBE, the powder diffractogram of TbNd2Ga6 was calculated for λ = 1.5418 Å (Cu Kα).
Neutral-atom scattering factors, no anomalous dispersion.

Atomic structure:
```
9
Lattice="7.374 0.000 0.000 -3.687 6.386 0.000 0.000 0.000 4.255" Properties=species:S:1:pos:R:3 pbc="T T T"
Tb 0.000 0.000 0.000
Nd 0.000 4.257 0.000
Nd 3.687 2.129 0.000
Ga -1.225 2.121 2.128
Ga -2.462 4.264 2.128
Ga 2.449 0.000 2.128
Ga 1.225 2.121 2.128
Ga 4.924 0.000 2.128
Ga 2.462 4.264 2.128
```

Peak list (6 most intense, 15° ≤ 2θ ≤ 90°, by intensity)
two_theta, intensity
32.1, 100
42.5, 55
71.2, 29
61.6, 27
54.2, 22
24.1, 12

***

Entry 2:
Starting from a cell relaxed with PBE, the powder diffractogram of Tb5Pm5Er was calculated for λ = 1.5418 Å (Cu Kα).
Neutral-atom scattering factors, no anomalous dispersion.

Atomic structure:
```
11
Lattice="6.132 0.000 0.000 -3.066 5.311 0.000 0.000 0.000 11.525" Properties=species:S:1:pos:R:3 pbc="T T T"
Tb 0.000 0.000 0.000
Tb 0.000 3.541 3.650
Tb 0.000 3.541 7.875
Tb 3.066 1.770 1.814
Tb 3.066 1.770 9.711
Pm 0.000 0.000 3.029
Pm 0.000 0.000 8.496
Pm 1.562 0.902 5.762
Pm 4.570 0.902 5.762
Pm 3.066 3.507 5.762
Er 0.000 3.541 0.000
```

Peak list (6 most intense, 15° ≤ 2θ ≤ 90°, by intensity)
two_theta, intensity
28.7, 100
29.1, 89
51.4, 38
30.2, 32
34.7, 29
35.4, 28

***

Entry 3:
Starting from a cell relaxed with PBE, the powder diffractogram of Li2Ag2SbAu4 was calculated for λ = 1.5418 Å (Cu Kα).
Neutral-atom scattering factors, no anomalous dispersion.

Atomic structure:
```
9
Lattice="-3.333 3.333 4.040 3.333 -3.333 4.040 3.333 3.333 -4.040" Properties=species:S:1:pos:R:3 pbc="T T T"
Li 0.000 0.000 1.515
Li 0.000 0.000 6.565
Ag 3.333 0.000 2.020
Ag 0.000 3.333 2.020
Sb 0.000 0.000 4.040
Au 1.449 1.449 0.000
Au 1.884 -1.884 4.040
Au -1.884 1.884 4.040
Au 1.884 1.884 4.040
```

Peak list (6 most intense, 15° ≤ 2θ ≤ 90°, by intensity)
two_theta, intensity
34.9, 100
38.2, 58
22.0, 51
29.1, 32
60.3, 30
42.2, 28